Record 1
Li3Y3ZrTe8: simulated powder X-ray diffraction pattern (CuKα), based on a DFT-relaxed cell (GGA-PBE, Alexandria).
Neutral-atom scattering factors, no anomalous dispersion.

The 10 most intense peaks (2θ = 5–70°), low angle first:
- 2θ 12.47, d 7.096, I 17
- 2θ 24.30, d 3.662, I 11
- 2θ 25.38, d 3.510, I 28
- 2θ 29.30, d 3.048, I 100
- 2θ 41.74, d 2.164, I 38
- 2θ 42.10, d 2.146, I 36
- 2θ 52.12, d 1.755, I 19
- 2θ 60.78, d 1.524, I 12
- 2θ 68.63, d 1.367, I 17
- 2θ 69.14, d 1.359, I 16

Atomic structure:
```
Li3Y3ZrTe8
1.0
4.293 2.478 7.096
-4.293 2.478 7.096
0.000 -4.957 7.096
Li Y Zr Te
3 3 1 8
direct
0.000 0.500 0.500 Li
0.500 0.000 0.500 Li
0.500 0.500 0.000 Li
0.000 0.000 0.500 Y
0.000 0.500 0.000 Y
0.500 0.000 0.000 Y
0.500 0.500 0.500 Zr
0.253 0.253 0.253 Te
0.257 0.257 0.738 Te
0.257 0.738 0.257 Te
0.262 0.743 0.743 Te
0.738 0.257 0.257 Te
0.743 0.262 0.743 Te
0.743 0.743 0.262 Te
0.747 0.747 0.747 Te
```

=====

Record 2
La3Sm5S8: simulated powder X-ray diffraction pattern (CuKα), based on a DFT-relaxed cell (GGA-PBE, Alexandria).
Neutral-atom scattering factors, no anomalous dispersion.

The 6 most intense peaks (2θ = 5–70°), low angle first:
- 2θ 26.86, d 3.319, I 74
- 2θ 31.12, d 2.874, I 100
- 2θ 44.58, d 2.032, I 72
- 2θ 52.82, d 1.733, I 37
- 2θ 55.36, d 1.659, I 25
- 2θ 64.88, d 1.437, I 12

Atomic structure:
```
La3Sm5S8
1.0
4.064 2.346 6.640
-4.064 2.346 6.640
0.000 -4.693 6.640
La Sm S
3 5 8
direct
0.000 0.500 0.500 La
0.500 0.000 0.500 La
0.500 0.500 0.000 La
0.000 0.000 0.000 Sm
0.000 0.000 0.500 Sm
0.000 0.500 0.000 Sm
0.500 0.000 0.000 Sm
0.500 0.500 0.500 Sm
0.243 0.750 0.750 S
0.246 0.246 0.246 S
0.250 0.250 0.757 S
0.250 0.757 0.250 S
0.750 0.243 0.750 S
0.750 0.750 0.243 S
0.754 0.754 0.754 S
0.757 0.250 0.250 S
```

=====

Record 3
PaFeSiC: simulated powder X-ray diffraction pattern (CuKα), based on a DFT-relaxed cell (GGA-PBE, Alexandria).
Neutral-atom scattering factors, no anomalous dispersion.

The 10 most intense peaks (2θ = 5–70°), low angle first:
- 2θ 26.29, d 3.389, I 66
- 2θ 32.28, d 2.773, I 100
- 2θ 34.18, d 2.623, I 28
- 2θ 35.89, d 2.502, I 34
- 2θ 40.64, d 2.220, I 25
- 2θ 49.11, d 1.855, I 25
- 2θ 50.22, d 1.817, I 19
- 2θ 56.39, d 1.632, I 15
- 2θ 56.56, d 1.627, I 18
- 2θ 59.99, d 1.542, I 45

Atomic structure:
```
PaFeSiC
1.0
3.710 0.000 0.000
0.000 3.710 0.000
0.000 0.000 8.335
Pa Fe Si C
2 2 2 2
direct
0.250 0.250 0.162 Pa
0.750 0.750 0.838 Pa
0.250 0.750 0.500 Fe
0.750 0.250 0.500 Fe
0.250 0.250 0.657 Si
0.750 0.750 0.343 Si
0.250 0.250 0.883 C
0.750 0.750 0.117 C
```